Structure and simulated XRD peak list of Li3CoSiBO7 (a structure optimized by DFT (PBE+U); CuKα).

Principal peaks in the range 2θ from 10° to 80°, low angle first:
(0 0 1), 10.65°, I 94; (0 1 1), 17.97°, I 82; (1 0 -1), 19.83°, I 57; (1 0 1), 21.62°, I 67; (1 0 -2), 26.55°, I 43; (0 2 0), 29.09°, I 100

Structural model:
a b c (Å): 5.0205 6.1391 8.3467
angles (deg): 90.00 95.55 90.00
Positions (direct):
Li: 0.2362 0.2500 0.1029
Li: 0.2547 0.5034 0.7455
Li: 0.2547 0.9966 0.7455
Li: 0.7453 0.0034 0.2545
Li: 0.7453 0.4966 0.2545
Li: 0.7638 0.7500 0.8971
Co: 0.2005 0.7500 0.3160
Co: 0.7995 0.2500 0.6840
Si: 0.2776 0.2500 0.4302
Si: 0.7224 0.7500 0.5698
B: 0.2898 0.7500 0.0425
B: 0.7102 0.2500 0.9575
O: 0.0326 0.7500 0.0922
O: 0.1340 0.2500 0.5959
O: 0.1816 0.0525 0.3015
O: 0.1816 0.4475 0.3015
O: 0.3616 0.7500 0.8919
O: 0.3949 0.7500 0.5276
O: 0.4759 0.7500 0.1797
O: 0.5241 0.2500 0.8203
O: 0.6051 0.2500 0.4724
O: 0.6384 0.2500 0.1081
O: 0.8184 0.5525 0.6985
O: 0.8184 0.9475 0.6985
O: 0.8660 0.7500 0.4041
O: 0.9674 0.2500 0.9078